Record 1
Diffraction record for MgCo2Ge3. The XRD peak list is computed, not measured: it uses a crystal structure in Alexandria, relaxed with GGA-PBE and Cu Kα.

Principal peaks in the range 15 to 90 degrees two-theta, low angle first:
15.16 deg, I = 40; 20.48 deg, I = 22; 37.45 deg, I = 100; 39.82 deg, I = 68; 40.79 deg, I = 24; 41.91 deg, I = 43; 47.08 deg, I = 78; 47.85 deg, I = 40; 50.77 deg, I = 24; 64.26 deg, I = 23

Atomic structure:
Lattice parameters (Å, degrees): 5.8679 5.8679 5.1433 90.00 90.00 84.69
Element x y z (fractional)
Mg 0.0852 0.9148 0.7500
Mg 0.9148 0.0852 0.2500
Co 0.2745 0.2745 0.0000
Co 0.2745 0.2745 0.5000
Co 0.7255 0.7255 0.0000
Co 0.7255 0.7255 0.5000
Ge 0.0739 0.6029 0.2500
Ge 0.3971 0.9261 0.2500
Ge 0.4276 0.5724 0.7500
Ge 0.5724 0.4276 0.2500
Ge 0.6029 0.0739 0.7500
Ge 0.9261 0.3971 0.7500

=====

Record 2
Diffraction record for MgCo2Ge2. The XRD peak list is computed, not measured: it uses a crystal structure in Alexandria, relaxed with GGA-PBE and Cu Kα.

Principal peaks in the range 15 to 90 degrees two-theta, low angle first:
15.75 deg, I = 57; 21.68 deg, I = 74; 30.04 deg, I = 76; 32.20 deg, I = 43; 42.96 deg, I = 35; 43.37 deg, I = 100; 46.54 deg, I = 45; 46.69 deg, I = 52; 47.97 deg, I = 35; 50.60 deg, I = 35

Atomic structure:
Lattice parameters (Å, degrees): 5.9140 5.9140 4.8006 107.76 107.76 87.04
Element x y z (fractional)
Mg 0.1182 0.8818 0.7500
Mg 0.8818 0.1182 0.2500
Co 0.2365 0.7635 0.2500
Co 0.4465 0.5535 0.7500
Co 0.5535 0.4465 0.2500
Co 0.7635 0.2365 0.7500
Ge 0.1613 0.3823 0.8773
Ge 0.3823 0.1613 0.3773
Ge 0.6177 0.8387 0.6227
Ge 0.8387 0.6177 0.1227